Entry 1:
Diffraction record for LaMgBeZn. The X-ray diffraction stick pattern is computed, not measured: it uses DFT lattice parameters and positions (GGA-PBE) and Cu Kα (λ = 1.5418 Å).

Main lines, in order of falling intensity (2θ from 10° to 90°):
| 2theta | d [Å] | intensity | hkl |
| --- | --- | --- | --- |
| 36.7 | 2.448 | 100 | 2 2 0 |
| 22.2 | 3.997 | 69 | 1 1 1 |
| 43.3 | 2.087 | 36 | 3 1 1 |
| 66.1 | 1.413 | 34 | 4 2 2 |
| 52.9 | 1.731 | 17 | 4 0 0 |
| 25.7 | 3.461 | 16 | 2 0 0 |
| 89.5 | 1.095 | 15 | 6 2 0 |
| 58.1 | 1.588 | 15 | 3 3 1 |

Atomic structure:
```
data_LaMgBeZn
_chemical_formula_sum 'La4 Mg4 Be4 Zn4'
_symmetry_space_group_name_H-M 'F -4 3 m'
_symmetry_Int_Tables_number 216
_symmetry_space_group_name_Hall 'F -4 2 3'
_cell_length_a 6.923
_cell_length_b 6.923
_cell_length_c 6.923
_cell_angle_alpha 90.00
_cell_angle_beta 90.00
_cell_angle_gamma 90.00
loop_
_atom_site_label
_atom_site_type_symbol
_atom_site_fract_x
_atom_site_fract_y
_atom_site_fract_z
La1 La 0.000 0.000 0.000
Mg1 Mg 0.000 0.000 0.500
Be1 Be 0.250 0.250 0.750
Zn1 Zn 0.250 0.250 0.250
```

Entry 2:
Diffraction record for LaNdBeN2. The X-ray diffraction stick pattern is computed, not measured: it uses DFT lattice parameters and positions (GGA-PBE) and Cu Kα (λ = 1.5418 Å).

Main lines, in order of falling intensity (2θ from 10° to 90°):
| 2theta | d [Å] | intensity | hkl |
| --- | --- | --- | --- |
| 24.1 | 3.694 | 100 | 1 1 0 |
| 35.6 | 2.519 | 82 | 1 1 2 |
| 25.9 | 3.444 | 34 | 0 0 2 |
| 56.5 | 1.628 | 27 | 3 1 0 |
| 43.0 | 2.105 | 26 | 0 2 2 |
| 44.0 | 2.058 | 24 | 2 0 2 |
| 33.7 | 2.659 | 20 | 0 2 0 |
| 49.3 | 1.847 | 18 | 2 2 0 |

Atomic structure:
```
data_LaNdBeN2
_chemical_formula_sum 'La2 Nd2 Be2 N4'
_symmetry_space_group_name_H-M 'P c c m'
_symmetry_Int_Tables_number 49
_symmetry_space_group_name_Hall '-P 2 2c'
_cell_length_a 5.135
_cell_length_b 5.317
_cell_length_c 6.888
_cell_angle_alpha 90.00
_cell_angle_beta 90.00
_cell_angle_gamma 90.00
loop_
_atom_site_label
_atom_site_type_symbol
_atom_site_fract_x
_atom_site_fract_y
_atom_site_fract_z
La1 La 0.000 0.000 0.250
Nd1 Nd 0.500 0.500 0.250
Be1 Be 0.000 0.500 0.000
N1 N 0.212 0.291 0.000
```

Entry 3:
Diffraction record for LaBeSeN2. The X-ray diffraction stick pattern is computed, not measured: it uses DFT lattice parameters and positions (GGA-PBE) and Cu Kα (λ = 1.5418 Å).

Main lines, in order of falling intensity (2θ from 10° to 90°):
| 2theta | d [Å] | intensity | hkl |
| --- | --- | --- | --- |
| 37.6 | 2.391 | 100 | 1 1 1 |
| 20.5 | 4.322 | 67 | 0 0 1 |
| 31.2 | 2.870 | 56 | 1 1 0 |
| 44.6 | 2.030 | 33 | 2 0 0 |
| 49.6 | 1.837 | 28 | 2 0 1 |
| 53.0 | 1.727 | 26 | 1 1 2 |
| 62.8 | 1.480 | 23 | 2 0 2 |
| 77.6 | 1.231 | 22 | 3 1 1 |

Atomic structure:
```
data_LaBeSeN2
_chemical_formula_sum 'La1 Be1 Se1 N2'
_symmetry_space_group_name_H-M 'P 4/m m m'
_symmetry_Int_Tables_number 123
_symmetry_space_group_name_Hall '-P 4 2'
_cell_length_a 4.059
_cell_length_b 4.059
_cell_length_c 4.322
_cell_angle_alpha 90.00
_cell_angle_beta 90.00
_cell_angle_gamma 90.00
loop_
_atom_site_label
_atom_site_type_symbol
_atom_site_fract_x
_atom_site_fract_y
_atom_site_fract_z
La1 La 0.000 0.000 0.000
Be1 Be 0.500 0.500 0.500
Se1 Se 0.500 0.500 0.000
N1 N 0.000 0.500 0.500
```

Entry 4:
Diffraction record for LaBe4Ni. The X-ray diffraction stick pattern is computed, not measured: it uses DFT lattice parameters and positions (GGA-PBE) and Cu Kα (λ = 1.5418 Å).

Main lines, in order of falling intensity (2θ from 10° to 90°):
| 2theta | d [Å] | intensity | hkl |
| --- | --- | --- | --- |
| 22.7 | 3.924 | 100 | 1 1 1 |
| 37.4 | 2.403 | 88 | 2 2 0 |
| 44.2 | 2.049 | 71 | 3 1 1 |
| 67.5 | 1.387 | 30 | 4 2 2 |
| 59.3 | 1.559 | 22 | 3 3 1 |
| 72.2 | 1.308 | 22 | 5 1 1 |
| 84.3 | 1.149 | 16 | 5 3 1 |
| 26.2 | 3.398 | 15 | 2 0 0 |

Atomic structure:
```
data_LaBe4Ni
_chemical_formula_sum 'La4 Be16 Ni4'
_symmetry_space_group_name_H-M 'F -4 3 m'
_symmetry_Int_Tables_number 216
_symmetry_space_group_name_Hall 'F -4 2 3'
_cell_length_a 6.796
_cell_length_b 6.796
_cell_length_c 6.796
_cell_angle_alpha 90.00
_cell_angle_beta 90.00
_cell_angle_gamma 90.00
loop_
_atom_site_label
_atom_site_type_symbol
_atom_site_fract_x
_atom_site_fract_y
_atom_site_fract_z
La1 La 0.000 0.000 0.000
Be1 Be 0.118 0.118 0.382
Ni1 Ni 0.250 0.250 0.750
```

Entry 5:
Diffraction record for LaBeSiNi6. The X-ray diffraction stick pattern is computed, not measured: it uses DFT lattice parameters and positions (GGA-PBE) and Cu Kα (λ = 1.5418 Å).

Main lines, in order of falling intensity (2θ from 10° to 90°):
| 2theta | d [Å] | intensity | hkl |
| --- | --- | --- | --- |
| 43.0 | 2.104 | 100 | 2 2 0 |
| 36.7 | 2.447 | 59 | 0 2 4 |
| 47.4 | 1.920 | 47 | 0 4 0 |
| 36.3 | 2.476 | 47 | 1 2 3 |
| 46.0 | 1.972 | 41 | 2 0 4 |
| 46.5 | 1.952 | 37 | 1 2 5 |
| 27.1 | 3.286 | 33 | 0 2 2 |
| 30.1 | 2.968 | 29 | 1 2 1 |

Atomic structure:
```
data_LaBeSiNi6
_chemical_formula_sum 'La4 Be4 Si4 Ni24'
_symmetry_space_group_name_H-M 'I m m a'
_symmetry_Int_Tables_number 74
_symmetry_space_group_name_Hall '-I 2b 2'
_cell_length_a 5.032
_cell_length_b 7.679
_cell_length_c 12.699
_cell_angle_alpha 90.00
_cell_angle_beta 90.00
_cell_angle_gamma 90.00
loop_
_atom_site_label
_atom_site_type_symbol
_atom_site_fract_x
_atom_site_fract_y
_atom_site_fract_z
La1 La 0.000 0.250 0.004
Be1 Be 0.250 0.250 0.750
Si1 Si 0.000 0.000 0.500
Ni1 Ni 0.000 0.250 0.246
Ni2 Ni 0.000 0.250 0.606
Ni3 Ni 0.250 0.010 0.157
```

Entry 6:
Diffraction record for La2Be2PdO6. The X-ray diffraction stick pattern is computed, not measured: it uses DFT lattice parameters and positions (GGA-PBE) and Cu Kα (λ = 1.5418 Å).

Main lines, in order of falling intensity (2θ from 10° to 90°):
| 2theta | d [Å] | intensity | hkl |
| --- | --- | --- | --- |
| 32.8 | 2.732 | 100 | 0 1 5 |
| 33.6 | 2.665 | 99 | 1 1 0 |
| 28.6 | 3.121 | 68 | 1 0 4 |
| 19.9 | 4.453 | 66 | 1 0 1 |
| 60.2 | 1.538 | 52 | 3 0 0 |
| 44.7 | 2.027 | 45 | 0 2 4 |
| 47.7 | 1.908 | 44 | 2 0 5 |
| 59.6 | 1.551 | 36 | 1 2 5 |

Atomic structure:
```
data_La2Be2PdO6
_chemical_formula_sum 'La6 Be6 Pd3 O18'
_symmetry_space_group_name_H-M 'R -3 m'
_symmetry_Int_Tables_number 166
_symmetry_space_group_name_Hall '-R 3 2"'
_cell_length_a 5.3296
_cell_length_b 5.3296
_cell_length_c 16.9453
_cell_angle_alpha 90.00
_cell_angle_beta 90.00
_cell_angle_gamma 120.00
loop_
_atom_site_label
_atom_site_type_symbol
_atom_site_fract_x
_atom_site_fract_y
_atom_site_fract_z
La1 La 0.0000 0.0000 0.2144
Be1 Be 0.0000 0.0000 0.4259
Pd1 Pd 0.0000 0.0000 0.0000
O1 O 0.0018 0.5009 0.2376
```

Entry 7:
Diffraction record for Sr2LaBeO5. The X-ray diffraction stick pattern is computed, not measured: it uses DFT lattice parameters and positions (GGA-PBE) and Cu Kα (λ = 1.5418 Å).

Main lines, in order of falling intensity (2θ from 10° to 90°):
| 2theta | d [Å] | intensity | hkl |
| --- | --- | --- | --- |
| 30.6 | 2.917 | 100 | 3 0 1 |
| 28.7 | 3.106 | 66 | 1 2 1 |
| 30.0 | 2.974 | 47 | 2 2 0 |
| 39.5 | 2.284 | 30 | 4 0 1 |
| 37.1 | 2.421 | 30 | 1 2 2 |
| 28.2 | 3.164 | 28 | 1 0 2 |
| 40.6 | 2.223 | 23 | 2 2 2 |
| 32.9 | 2.719 | 20 | 2 2 1 |

Atomic structure:
```
data_Sr2LaBeO5
_chemical_formula_sum 'Sr8 La4 Be4 O20'
_symmetry_space_group_name_H-M 'P n m a'
_symmetry_Int_Tables_number 62
_symmetry_space_group_name_Hall '-P 2ac 2n'
_cell_length_a 9.726
_cell_length_b 7.519
_cell_length_c 6.693
_cell_angle_alpha 90.00
_cell_angle_beta 90.00
_cell_angle_gamma 90.00
loop_
_atom_site_label
_atom_site_type_symbol
_atom_site_fract_x
_atom_site_fract_y
_atom_site_fract_z
Sr1 Sr 0.173 0.025 0.087
La1 La 0.029 0.250 0.595
Be1 Be 0.101 0.750 0.811
O1 O 0.013 0.750 0.027
O2 O 0.063 0.566 0.689
O3 O 0.225 0.750 0.327
O4 O 0.232 0.250 0.372
```

Entry 8:
Diffraction record for La2Be2Pd5. The X-ray diffraction stick pattern is computed, not measured: it uses DFT lattice parameters and positions (GGA-PBE) and Cu Kα (λ = 1.5418 Å).

Main lines, in order of falling intensity (2θ from 10° to 90°):
| 2theta | d [Å] | intensity | hkl |
| --- | --- | --- | --- |
| 36.2 | 2.479 | 100 | 1 1 2 |
| 43.7 | 2.072 | 30 | 2 0 0 |
| 75.4 | 1.261 | 23 | 3 1 2 |
| 59.8 | 1.547 | 22 | 2 0 4 |
| 38.7 | 2.325 | 19 | 0 0 4 |
| 68.5 | 1.370 | 14 | 1 1 6 |
| 76.9 | 1.239 | 10 | 2 2 4 |
| 63.5 | 1.465 | 10 | 2 2 0 |

Atomic structure:
```
data_La2Be2Pd5
_chemical_formula_sum 'La2 Be2 Pd5'
_symmetry_space_group_name_H-M 'P 4/m m m'
_symmetry_Int_Tables_number 123
_symmetry_space_group_name_Hall '-P 4 2'
_cell_length_a 4.144
_cell_length_b 4.144
_cell_length_c 9.299
_cell_angle_alpha 90.00
_cell_angle_beta 90.00
_cell_angle_gamma 90.00
loop_
_atom_site_label
_atom_site_type_symbol
_atom_site_fract_x
_atom_site_fract_y
_atom_site_fract_z
La1 La 0.000 0.000 0.000
La2 La 0.000 0.000 0.500
Be1 Be 0.500 0.500 0.140
Pd1 Pd 0.000 0.500 0.259
Pd2 Pd 0.500 0.500 0.500
```

Entry 9:
Diffraction record for LaBe3Pd10. The X-ray diffraction stick pattern is computed, not measured: it uses DFT lattice parameters and positions (GGA-PBE) and Cu Kα (λ = 1.5418 Å).

Main lines, in order of falling intensity (2θ from 10° to 90°):
| 2theta | d [Å] | intensity | hkl |
| --- | --- | --- | --- |
| 39.1 | 2.302 | 100 | 3 3 3 |
| 33.5 | 2.674 | 55 | 4 2 0 |
| 44.8 | 2.021 | 46 | 5 3 1 |
| 36.8 | 2.441 | 30 | 4 2 2 |
| 66.3 | 1.409 | 28 | 6 6 0 |
| 42.8 | 2.114 | 20 | 4 4 0 |
| 78.3 | 1.221 | 18 | 8 4 4 |
| 64.2 | 1.450 | 18 | 6 4 4 |

Atomic structure:
```
data_LaBe3Pd10
_chemical_formula_sum 'La8 Be24 Pd80'
_symmetry_space_group_name_H-M 'F m -3 m'
_symmetry_Int_Tables_number 225
_symmetry_space_group_name_Hall '-F 4 2 3'
_cell_length_a 11.959
_cell_length_b 11.959
_cell_length_c 11.959
_cell_angle_alpha 90.00
_cell_angle_beta 90.00
_cell_angle_gamma 90.00
loop_
_atom_site_label
_atom_site_type_symbol
_atom_site_fract_x
_atom_site_fract_y
_atom_site_fract_z
La1 La 0.250 0.250 0.250
Be1 Be 0.000 0.000 0.229
Pd1 Pd 0.000 0.168 0.332
Pd2 Pd 0.116 0.116 0.116
```

Entry 10:
Diffraction record for La2BePd5. The X-ray diffraction stick pattern is computed, not measured: it uses DFT lattice parameters and positions (GGA-PBE) and Cu Kα (λ = 1.5418 Å).

Main lines, in order of falling intensity (2θ from 10° to 90°):
| 2theta | d [Å] | intensity | hkl |
| --- | --- | --- | --- |
| 36.3 | 2.478 | 100 | 2 0 2 |
| 42.4 | 2.132 | 33 | 2 2 0 |
| 73.5 | 1.288 | 23 | 4 2 2 |
| 60.9 | 1.522 | 22 | 2 2 4 |
| 41.5 | 2.174 | 18 | 0 0 4 |
| 72.3 | 1.306 | 13 | 2 0 6 |
| 17.9 | 4.956 | 12 | 1 0 1 |
| 77.0 | 1.239 | 11 | 4 0 4 |

Atomic structure:
```
data_La2BePd5
_chemical_formula_sum 'La4 Be2 Pd10'
_symmetry_space_group_name_H-M 'I 4 m m'
_symmetry_Int_Tables_number 107
_symmetry_space_group_name_Hall 'I 4 -2'
_cell_length_a 6.031
_cell_length_b 6.031
_cell_length_c 8.695
_cell_angle_alpha 90.00
_cell_angle_beta 90.00
_cell_angle_gamma 90.00
loop_
_atom_site_label
_atom_site_type_symbol
_atom_site_fract_x
_atom_site_fract_y
_atom_site_fract_z
La1 La 0.000 0.500 0.000
Be1 Be 0.000 0.000 0.263
Pd1 Pd 0.000 0.000 0.992
Pd2 Pd 0.236 0.236 0.749
```

Entry 11:
Diffraction record for LaBeSiPd6. The X-ray diffraction stick pattern is computed, not measured: it uses DFT lattice parameters and positions (GGA-PBE) and Cu Kα (λ = 1.5418 Å).

Main lines, in order of falling intensity (2θ from 10° to 90°):
| 2theta | d [Å] | intensity | hkl |
| --- | --- | --- | --- |
| 32.6 | 2.746 | 100 | 2 2 0 |
| 46.5 | 1.954 | 57 | 2 2 4 |
| 32.2 | 2.780 | 35 | 0 0 4 |
| 44.5 | 2.034 | 24 | 0 4 0 |
| 34.9 | 2.571 | 20 | 1 2 3 |
| 49.0 | 1.861 | 18 | 4 0 0 |
| 36.2 | 2.480 | 17 | 1 1 4 |
| 27.6 | 3.237 | 14 | 2 1 1 |

Atomic structure:
```
data_LaBeSiPd6
_chemical_formula_sum 'La4 Be4 Si4 Pd24'
_symmetry_space_group_name_H-M 'I m m a'
_symmetry_Int_Tables_number 74
_symmetry_space_group_name_Hall '-I 2b 2'
_cell_length_a 7.442
_cell_length_b 8.136
_cell_length_c 11.120
_cell_angle_alpha 90.00
_cell_angle_beta 90.00
_cell_angle_gamma 90.00
loop_
_atom_site_label
_atom_site_type_symbol
_atom_site_fract_x
_atom_site_fract_y
_atom_site_fract_z
La1 La 0.000 0.250 0.169
Be1 Be 0.000 0.000 0.500
Si1 Si 0.250 0.250 0.750
Pd1 Pd 0.000 0.250 0.426
Pd2 Pd 0.000 0.250 0.881
Pd3 Pd 0.230 0.016 0.624
```

Entry 12:
Diffraction record for La2BeSnPd6. The X-ray diffraction stick pattern is computed, not measured: it uses DFT lattice parameters and positions (GGA-PBE) and Cu Kα (λ = 1.5418 Å).

Main lines, in order of falling intensity (2θ from 10° to 90°):
| 2theta | d [Å] | intensity | hkl |
| --- | --- | --- | --- |
| 36.5 | 2.461 | 100 | 2 2 2 |
| 39.9 | 2.260 | 88 | 0 2 2 |
| 36.3 | 2.478 | 86 | 2 0 0 |
| 39.4 | 2.288 | 80 | 2 0 2 |
| 26.8 | 3.326 | 76 | 0 0 2 |
| 39.1 | 2.303 | 63 | 2 2 0 |
| 35.6 | 2.525 | 58 | 0 2 0 |
| 32.6 | 2.749 | 29 | 1 -1 1 |

Atomic structure:
```
data_La2BeSnPd6
_chemical_formula_sum 'La2 Be1 Sn1 Pd6'
_symmetry_space_group_name_H-M 'P -1'
_symmetry_Int_Tables_number 2
_symmetry_space_group_name_Hall '-P 1'
_cell_length_a 5.895
_cell_length_b 5.949
_cell_length_c 7.393
_cell_angle_alpha 68.61
_cell_angle_beta 67.16
_cell_angle_gamma 60.40
loop_
_atom_site_label
_atom_site_type_symbol
_atom_site_fract_x
_atom_site_fract_y
_atom_site_fract_z
La1 La 0.240 0.250 0.288
Be1 Be 0.000 0.000 0.000
Sn1 Sn 0.500 0.500 0.500
Pd1 Pd 0.227 0.682 0.840
Pd2 Pd 0.237 0.220 0.793
Pd3 Pd 0.284 0.784 0.184
```

Entry 13:
Diffraction record for LaBe3Pt. The X-ray diffraction stick pattern is computed, not measured: it uses DFT lattice parameters and positions (GGA-PBE) and Cu Kα (λ = 1.5418 Å).

Main lines, in order of falling intensity (2θ from 10° to 90°):
| 2theta | d [Å] | intensity | hkl |
| --- | --- | --- | --- |
| 32.0 | 2.797 | 100 | 1 2 0 |
| 22.8 | 3.899 | 96 | 1 0 0 |
| 35.6 | 2.525 | 85 | 1 0 2 |
| 31.5 | 2.840 | 72 | 0 2 0 |
| 30.5 | 2.931 | 61 | 0 1 2 |
| 41.5 | 2.176 | 42 | -1 1 2 |
| 26.6 | 3.349 | 32 | 0 0 2 |
| 54.9 | 1.674 | 29 | 0 3 2 |

Atomic structure:
```
data_LaBe3Pt
_chemical_formula_sum 'La2 Be6 Pt2'
_symmetry_space_group_name_H-M 'P -1'
_symmetry_Int_Tables_number 2
_symmetry_space_group_name_Hall '-P 1'
_cell_length_a 4.151
_cell_length_b 6.044
_cell_length_c 6.702
_cell_angle_alpha 88.03
_cell_angle_beta 89.93
_cell_angle_gamma 70.07
loop_
_atom_site_label
_atom_site_type_symbol
_atom_site_fract_x
_atom_site_fract_y
_atom_site_fract_z
La1 La 0.139 0.223 0.149
Be1 Be 0.257 0.500 0.500
Be2 Be 0.320 0.862 0.503
Be3 Be 0.427 0.648 0.228
Pt1 Pt 0.150 0.197 0.685
```